Computed powder XRD pattern of Cu2Ag7 for Cu Kα, 1.54184 Å, from a structure optimized by DFT (PBE).
Kinematic intensities with the Lorentz-polarization factor, no thermal factor.

Most intense lines, 10 to 90 degrees two-theta, by angle:
(0 1 9), 38.47°, I = 96; (1 1 0), 38.57°, I = 100; (1 0 9), 44.31°, I = 63; (0 2 0), 45.71°, I = 30; (2 0 0), 64.60°, I = 10; (1 2 9), 65.55°, I = 37; (1 1 18), 77.57°, I = 19; (2 1 9), 77.77°, I = 22; (1 3 0), 79.70°, I = 21; (2 2 0), 82.69°, I = 10

Atomic structure:
a = 2.8855 Å, b = 3.9695 Å, c = 26.0712 Å
α = 90.00°, β = 90.00°, γ = 90.00°
Space group Immm (No. 71)
Inequivalent atoms, fractional coordinates:
Cu: 0.0000 0.0000 0.0514
Ag: 0.0000 0.0000 0.1623
Ag: 0.0000 0.0000 0.2791
Ag: 0.0000 0.0000 0.3946
Ag: 0.0000 0.0000 0.5000